This entry pairs a crystal structure of In8Ir2Se with its calculated PXRD pattern. Radiation: Cu Kα, 1.54184 Å. Structure: a PBE-relaxed structure.

a b c (Å): 10.0916 10.0916 10.2571
angles (deg): 90.00 90.00 90.00
Fractional positions:
In (0.0000, 0.0000, 0.1642)
In (0.0000, 0.0000, 0.8358)
In (0.0532, 0.2961, 0.2982)
In (0.0532, 0.2961, 0.7018)
In (0.0951, 0.9049, 0.5000)
In (0.1878, 0.8122, 0.0000)
In (0.2008, 0.2008, 0.0000)
In (0.2039, 0.5532, 0.2018)
In (0.2039, 0.5532, 0.7982)
In (0.2961, 0.0532, 0.2982)
In (0.2961, 0.0532, 0.7018)
In (0.2992, 0.7008, 0.5000)
In (0.3122, 0.3122, 0.5000)
In (0.4049, 0.4049, 0.0000)
In (0.4468, 0.7961, 0.2018)
In (0.4468, 0.7961, 0.7982)
In (0.5000, 0.5000, 0.3358)
In (0.5000, 0.5000, 0.6642)
In (0.5532, 0.2039, 0.2018)
In (0.5532, 0.2039, 0.7982)
In (0.5951, 0.5951, 0.0000)
In (0.6878, 0.6878, 0.5000)
In (0.7008, 0.2992, 0.5000)
In (0.7039, 0.9468, 0.2982)
In (0.7039, 0.9468, 0.7018)
In (0.7961, 0.4468, 0.2018)
In (0.7961, 0.4468, 0.7982)
In (0.7992, 0.7992, 0.0000)
In (0.8122, 0.1878, 0.0000)
In (0.9049, 0.0951, 0.5000)
In (0.9468, 0.7039, 0.2982)
In (0.9468, 0.7039, 0.7018)
Ir (0.1864, 0.8136, 0.2595)
Ir (0.1864, 0.8136, 0.7405)
Ir (0.3136, 0.3136, 0.2405)
Ir (0.3136, 0.3136, 0.7595)
Ir (0.6864, 0.6864, 0.2405)
Ir (0.6864, 0.6864, 0.7595)
Ir (0.8136, 0.1864, 0.2595)
Ir (0.8136, 0.1864, 0.7405)
Se (0.0000, 0.5000, 0.0000)
Se (0.0000, 0.5000, 0.5000)
Se (0.5000, 0.0000, 0.0000)
Se (0.5000, 0.0000, 0.5000)

Main lines, in order of rising 2θ (2θ = 10–80°):
2θ = 17.29°, intensity 40; 2θ = 17.58°, intensity 24; 2θ = 19.67°, intensity 41; 2θ = 32.86°, intensity 81; 2θ = 34.99°, intensity 39; 2θ = 36.72°, intensity 60; 2θ = 37.82°, intensity 47; 2θ = 40.85°, intensity 100; 2θ = 41.86°, intensity 23; 2θ = 65.01°, intensity 29